Entry 1:
Diffraction record for LiMnPO4. The X-ray powder pattern is calculated, not measured: it uses a DFT-relaxed cell (PBE+U, the Materials Project) and Cu Kα X-rays.
No peak broadening, texture or thermal motion is included.

The 12 most intense peaks (15° ≤ 2θ ≤ 90°), low angle first:
d/Å, Rel. int., h k l
4.320, 100, 0 1 0
4.124, 39, 0 1 -1
4.005, 63, 0 0 2
2.705, 52, 1 -1 2
2.535, 60, 1 -2 0
2.417, 43, -1 2 1
2.142, 24, 2 -1 1
1.839, 25, 2 -1 2
1.704, 16, 1 -1 4
1.599, 12, -1 1 5
1.494, 13, -1 3 2
1.464, 25, 3 0 -2

Structural model:
```
data_LiMnPO4
_symmetry_space_group_name_H-M 'P -1'
_symmetry_Int_Tables_number 2
_cell_length_a 5.0685
_cell_length_b 5.0705
_cell_length_c 8.5263
_cell_angle_alpha 90.10
_cell_angle_beta 107.20
_cell_angle_gamma 119.96
loop_
_symmetry_equiv_pos_as_xyz
'x,y,z'
'-x,-y,-z'
loop_
_atom_site_label
_atom_site_fract_x
_atom_site_fract_y
_atom_site_fract_z
Li1 0.2158 0.3575 0.0730
Mn1 0.0493 0.7750 0.3239
P1 0.3441 0.9223 0.7663
O1 0.1020 0.6418 0.8271
O2 0.2163 0.8589 0.5733
O3 0.3145 0.0393 0.1729
O4 0.3667 0.2253 0.8278
```

***

Entry 2:
Diffraction record for LiMnPO4. The X-ray powder pattern is calculated, not measured: it uses a DFT-relaxed cell (PBE+U, the Materials Project) and Cu Kα X-rays.
No peak broadening, texture or thermal motion is included.

The 12 most intense peaks (15° ≤ 2θ ≤ 90°), low angle first:
d/Å, Rel. int., h k l
4.855, 100, 0 0 2
4.536, 72, 1 1 0
4.109, 96, 0 1 1
2.634, 47, 1 1 3
2.619, 46, 2 1 0
2.528, 16, 1 -1 1
2.208, 21, 2 2 -1
1.857, 16, 2 2 3
1.785, 23, 1 1 -5
1.688, 15, -2 1 1
1.515, 16, 2 -1 3
1.512, 18, 3 3 0

Structural model:
```
data_LiMnPO4
_symmetry_space_group_name_H-M 'P 1'
_symmetry_Int_Tables_number 1
_cell_length_a 5.2371
_cell_length_b 5.2373
_cell_length_c 9.7090
_cell_angle_alpha 89.96
_cell_angle_beta 89.99
_cell_angle_gamma 60.00
loop_
_symmetry_equiv_pos_as_xyz
'x,y,z'
loop_
_atom_site_label
_atom_site_fract_x
_atom_site_fract_y
_atom_site_fract_z
Li1 0.0000 0.0000 0.0000
Li2 0.0003 0.9999 0.5000
Mn1 0.3334 0.3333 0.1115
Mn2 0.6672 0.6664 0.6115
P1 0.3338 0.3330 0.4744
P2 0.6670 0.6666 0.9744
O1 0.0589 0.6179 0.5299
O2 0.3238 0.0583 0.5305
O3 0.3348 0.3325 0.3173
O4 0.3826 0.6760 0.0302
O5 0.6178 0.3239 0.5307
O6 0.6671 0.6670 0.8173
O7 0.6767 0.9413 0.0305
O8 0.9414 0.3817 0.0305
```

***

Entry 3:
Diffraction record for LiMnP2O7. The X-ray powder pattern is calculated, not measured: it uses a DFT-relaxed cell (PBE+U, the Materials Project) and Cu Kα X-rays.
No peak broadening, texture or thermal motion is included.

The 12 most intense peaks (15° ≤ 2θ ≤ 90°), low angle first:
d/Å, Rel. int., h k l
5.029, 84, 1 1 0
3.984, 25, 1 1 -2
3.433, 14, 1 2 -1
3.266, 69, 2 0 -2
2.997, 100, 0 2 2
2.937, 35, 1 1 2
2.799, 19, 0 1 3
2.514, 21, 2 2 0
2.216, 20, 3 1 -2
2.047, 16, 1 3 2
1.992, 15, 2 2 -4
1.553, 17, 1 3 4

Structural model:
```
data_LiMnP2O7
_symmetry_space_group_name_H-M 'P 1 21/c 1'
_symmetry_Int_Tables_number 14
_cell_length_a 6.9528
_cell_length_b 8.0703
_cell_length_c 9.6813
_cell_angle_alpha 90.00
_cell_angle_beta 112.37
_cell_angle_gamma 90.00
loop_
_symmetry_equiv_pos_as_xyz
'x,y,z'
'-x,-y,-z'
'-x,y+1/2,-z+1/2'
'x,-y+1/2,z+1/2'
loop_
_atom_site_label
_atom_site_fract_x
_atom_site_fract_y
_atom_site_fract_z
Li1 0.2073 0.1295 0.0238
Mn1 0.2760 0.7355 0.9958
P1 0.0472 0.5387 0.2029
P2 0.4537 0.0818 0.6999
O1 0.0452 0.6828 0.1019
O2 0.0946 0.5863 0.3693
O3 0.1513 0.5649 0.8492
O4 0.2268 0.0948 0.7119
O5 0.3871 0.5812 0.6357
O6 0.4640 0.2283 0.6051
O7 0.4679 0.5885 0.1357
```